Diffraction record for Rb3Tl7Pt4. The XRD peak list is simulated, not measured: it uses the PBE geometry in Alexandria and Cu Kα (weighted mean of Kα1 and Kα2).
Neutral-atom scattering factors, no anomalous dispersion.

Structure:
```
data_Rb3Tl7Pt4
_cell_length_a 19.6316
_cell_length_b 4.5646
_cell_length_c 10.9285
_cell_angle_alpha 90.00
_cell_angle_beta 120.22
_cell_angle_gamma 90.00
_space_group_name_H-M_alt 'C 1 2/m 1'
_space_group_IT_number 12
loop_
_space_group_symop_operation_xyz
'x,y,z'
'-x,-y,-z'
'-x,y,-z'
'x,-y,z'
'x+1/2,y+1/2,z'
'-x+1/2,-y+1/2,-z'
'-x+1/2,y+1/2,-z'
'x+1/2,-y+1/2,z'
loop_
_atom_site_label
_atom_site_type_symbol
_atom_site_fract_x
_atom_site_fract_y
_atom_site_fract_z
Rb1 Rb 0.0000 0.0000 0.0000
Rb2 Rb 0.1936 0.5000 0.6477
Tl1 Tl 0.0000 0.0000 0.5000
Tl2 Tl 0.0268 0.5000 0.7483
Tl3 Tl 0.1473 0.5000 0.2801
Tl4 Tl 0.1776 0.0000 0.9063
Pt1 Pt 0.0826 0.0000 0.3484
Pt2 Pt 0.1602 0.5000 0.0372
```

Top 6 peaks for 10 to 90 degrees two-theta, sorted by position:
16.3°, I = 48, hkl 2 0 -2
17.2°, I = 54, hkl 2 0 1
29.5°, I = 100, hkl 1 1 2
30.3°, I = 77, hkl 5 1 -1
39.0°, I = 57, hkl 7 1 -3
39.5°, I = 60, hkl 0 2 0

---

Diffraction record for Li2P2O7. The XRD peak list is simulated, not measured: it uses the PBE geometry in Alexandria and Cu Kα (weighted mean of Kα1 and Kα2).
Neutral-atom scattering factors, no anomalous dispersion.

Structure:
```
data_Li2P2O7
_cell_length_a 7.0065
_cell_length_b 8.1368
_cell_length_c 4.8552
_cell_angle_alpha 90.00
_cell_angle_beta 107.57
_cell_angle_gamma 90.00
_space_group_name_H-M_alt 'C 1 2/m 1'
_space_group_IT_number 12
loop_
_space_group_symop_operation_xyz
'x,y,z'
'-x,-y,-z'
'-x,y,-z'
'x,-y,z'
'x+1/2,y+1/2,z'
'-x+1/2,-y+1/2,-z'
'-x+1/2,y+1/2,-z'
'x+1/2,-y+1/2,z'
loop_
_atom_site_label
_atom_site_type_symbol
_atom_site_fract_x
_atom_site_fract_y
_atom_site_fract_z
Li1 Li 0.0000 0.1800 0.0000
P1 P 0.2064 0.5000 0.4273
O1 O 0.0000 0.5000 0.5000
O2 O 0.1273 0.0000 0.2905
O3 O 0.2048 0.3516 0.2298
```

Top 6 peaks for 10 to 90 degrees two-theta, sorted by position:
19.2°, I = 72, hkl 0 0 1
21.8°, I = 100, hkl 0 2 0
26.7°, I = 54, hkl 2 0 0
27.8°, I = 93, hkl 2 0 -1
28.8°, I = 61, hkl 1 1 1
29.2°, I = 96, hkl 0 2 1

---

> Number 1 is which compound?

Rb3Tl7Pt4